Entry 1:
Sr2SmWN4: theoretical X-ray powder pattern (a wavelength of 1.5418 Å), based on a GGA-PBE-relaxed structure.
Intensities are scaled so that the largest is 100.

Main lines, by angle (2θ = 15–90°):
- 2θ = 20.1°, I = 19
- 2θ = 26.3°, I = 48
- 2θ = 29.9°, I = 69
- 2θ = 30.7°, I = 100
- 2θ = 31.7°, I = 43
- 2θ = 41.6°, I = 24
- 2θ = 45.2°, I = 32
- 2θ = 55.8°, I = 21
- 2θ = 56.2°, I = 30
- 2θ = 56.7°, I = 24

Structural model:
Cell lengths 7.742, 7.042, 5.650 Å; angles 90.00, 90.00, 90.00 degrees
Space group Pmn2_1 (No. 31)
Unique sites:
Sr (0.247, 0.159, 0.000) [4 per cell]
Sm (0.000, 0.656, 0.011) [2 per cell]
W (0.000, 0.346, 0.534) [2 per cell]
N (0.000, 0.358, 0.865) [2 per cell]
N (0.000, 0.604, 0.426) [2 per cell]
N (0.208, 0.215, 0.457) [4 per cell]

Entry 2:
Sm3TaN4: theoretical X-ray powder pattern (a wavelength of 1.5418 Å), based on a GGA-PBE-relaxed structure.
Intensities are scaled so that the largest is 100.

Main lines, by angle (2θ = 15–90°):
- 2θ = 30.8°, I = 100
- 2θ = 31.5°, I = 30
- 2θ = 35.9°, I = 89
- 2θ = 51.2°, I = 32
- 2θ = 52.1°, I = 27
- 2θ = 60.9°, I = 16
- 2θ = 61.3°, I = 29
- 2θ = 64.1°, I = 15
- 2θ = 83.5°, I = 13
- 2θ = 86.3°, I = 14

Structural model:
Cell lengths 7.1414, 7.1414, 8.5315 Å; angles 90.00, 90.00, 120.00 degrees
Space group R3m (No. 160, hexagonal axes)
Unique sites:
Sm (0.1684, 0.3368, 0.0000) [9 per cell]
Ta (0.0000, 0.0000, 0.6988) [3 per cell]
N (0.0000, 0.0000, 0.1691) [3 per cell]
N (0.1943, 0.3886, 0.4754) [9 per cell]

Entry 3:
SmTaTiN3: theoretical X-ray powder pattern (a wavelength of 1.5418 Å), based on a GGA-PBE-relaxed structure.
Intensities are scaled so that the largest is 100.

Main lines, by angle (2θ = 15–90°):
- 2θ = 30.2°, I = 26
- 2θ = 30.4°, I = 36
- 2θ = 32.4°, I = 49
- 2θ = 33.1°, I = 58
- 2θ = 33.5°, I = 36
- 2θ = 35.8°, I = 94
- 2θ = 37.4°, I = 100
- 2θ = 53.5°, I = 28
- 2θ = 58.0°, I = 23
- 2θ = 66.9°, I = 21

Structural model:
Cell lengths 5.552, 3.177, 8.348 Å; angles 90.00, 103.14, 90.00 degrees
Space group P2_1/m (No. 11)
Unique sites:
Sm (0.150, 0.250, 0.191) [2 per cell]
Ta (0.265, 0.750, 0.550) [2 per cell]
Ti (0.373, 0.250, 0.861) [2 per cell]
N (0.062, 0.250, 0.651) [2 per cell]
N (0.268, 0.750, 0.989) [2 per cell]
N (0.467, 0.750, 0.354) [2 per cell]

Entry 4:
Sm3Y2TaN6: theoretical X-ray powder pattern (a wavelength of 1.5418 Å), based on a GGA-PBE-relaxed structure.
Intensities are scaled so that the largest is 100.

Main lines, by angle (2θ = 15–90°):
- 2θ = 31.7°, I = 35
- 2θ = 31.8°, I = 100
- 2θ = 36.9°, I = 100
- 2θ = 53.0°, I = 34
- 2θ = 53.2°, I = 33
- 2θ = 63.1°, I = 15
- 2θ = 63.3°, I = 30
- 2θ = 63.4°, I = 15
- 2θ = 66.5°, I = 17
- 2θ = 89.8°, I = 15

Structural model:
Cell lengths 5.962, 10.319, 5.992 Å; angles 90.00, 109.34, 90.00 degrees
Space group C2/m (No. 12)
Unique sites:
Sm (0.000, 0.000, 0.000) [2 per cell]
Sm (0.000, 0.333, 0.000) [4 per cell]
Y (0.000, 0.167, 0.500) [4 per cell]
Ta (0.000, 0.500, 0.500) [2 per cell]
N (0.228, 0.346, 0.724) [8 per cell]
N (0.232, 0.500, 0.271) [4 per cell]

Entry 5:
TbSm5N6: theoretical X-ray powder pattern (a wavelength of 1.5418 Å), based on a GGA-PBE-relaxed structure.
Intensities are scaled so that the largest is 100.

Main lines, by angle (2θ = 15–90°):
- 2θ = 30.6°, I = 100
- 2θ = 35.5°, I = 73
- 2θ = 51.1°, I = 51
- 2θ = 60.8°, I = 45
- 2θ = 63.8°, I = 17
- 2θ = 75.2°, I = 8
- 2θ = 83.4°, I = 19
- 2θ = 86.1°, I = 23

Structural model:
Cell lengths 6.188, 10.719, 6.188 Å; angles 90.00, 109.47, 90.00 degrees
Space group C2/m (No. 12)
Unique sites:
Tb (0.000, 0.000, 0.000) [2 per cell]
Sm (0.000, 0.166, 0.500) [4 per cell]
Sm (0.000, 0.333, 0.000) [4 per cell]
Sm (0.000, 0.500, 0.500) [2 per cell]
N (0.247, 0.000, 0.752) [4 per cell]
N (0.248, 0.165, 0.248) [8 per cell]